# 1
KAu2Br: theoretical powder diffraction line list (Cu Kα (weighted mean of Kα1 and Kα2)), based on DFT lattice parameters and positions (PBE).
Peak positions follow from Bragg's law for the DFT cell and can differ from measured ones.

Main lines, sorted by position (2θ = 10–80°):
2θ 12.9, intensity 93
2θ 26.0, intensity 75
2θ 30.9, intensity 62
2θ 33.6, intensity 100
2θ 40.8, intensity 59
2θ 45.9, intensity 33

Structure:
```
KAu2Br
1.0
2.898 -6.842 0.000
2.898 6.842 0.000
-2.852 0.000 2.899
K Au Br
1 2 1
Direct
0.000 0.000 0.000
0.000 0.500 0.500
0.500 0.000 0.500
0.500 0.500 0.000
```

---

# 2
Li2ScBe: theoretical powder diffraction line list (Cu Kα (weighted mean of Kα1 and Kα2)), based on DFT lattice parameters and positions (PBE).
Peak positions follow from Bragg's law for the DFT cell and can differ from measured ones.

Main lines, sorted by position (2θ = 10–80°):
2θ 24.2, intensity 100
2θ 28.0, intensity 47
2θ 40.0, intensity 86
2θ 47.3, intensity 42
2θ 63.6, intensity 16
2θ 72.6, intensity 26

Structure:
```
Li2ScBe
1.0
0.000 3.189 3.189
3.189 0.000 3.189
3.189 3.189 0.000
Li Sc Be
2 1 1
Direct
0.000 0.000 0.000
0.250 0.250 0.250
0.500 0.500 0.500
0.750 0.750 0.750
```

---

# 3
LuGeBi2: theoretical powder diffraction line list (Cu Kα (weighted mean of Kα1 and Kα2)), based on DFT lattice parameters and positions (PBE).
Peak positions follow from Bragg's law for the DFT cell and can differ from measured ones.

Main lines, sorted by position (2θ = 10–80°):
2θ 25.6, intensity 43
2θ 28.0, intensity 100
2θ 28.5, intensity 73
2θ 36.3, intensity 41
2θ 40.3, intensity 91
2θ 49.3, intensity 51

Structure:
```
LuGeBi2
1.0
1.848 1.067 10.431
-1.848 1.067 10.431
0.000 -2.134 10.431
Lu Ge Bi
1 1 2
Direct
0.000 0.000 0.000
0.500 0.500 0.500
0.100 0.100 0.100
0.900 0.900 0.900
```